For Li10Zn4O9, a structure optimized by DFT (PBE) gives the calculated PXRD pattern in this record (Cu Kα).

Principal peaks in the range 15 to 90 degrees two-theta, most intense first:
2theta, d (Å), I_rel
26.21, 3.400, 100
34.57, 2.594, 81
41.44, 2.179, 44
55.65, 1.651, 43
56.14, 1.638, 24
33.31, 2.690, 24
66.76, 1.401, 17
62.97, 1.476, 15

Atomic structure:
```
46
Lattice="9.830 0.000 0.000 0.000 9.830 0.000 0.000 0.000 4.709" Properties=species:S:1:pos:R:3 pbc="T T T"
Li 0.614 1.044 0.187
Li 0.614 3.871 0.187
Li 1.044 0.614 2.541
Li 1.044 4.301 2.541
Li 2.458 2.458 0.381
Li 2.458 2.458 2.736
Li 3.871 0.614 2.541
Li 3.871 4.301 2.541
Li 4.301 1.044 0.187
Li 4.301 3.871 0.187
Li 5.529 5.959 4.522
Li 5.529 8.787 4.522
Li 5.959 5.529 2.168
Li 5.959 9.217 2.168
Li 7.373 7.373 1.973
Li 7.373 7.373 4.328
Li 8.787 5.529 2.168
Li 8.787 9.217 2.168
Li 9.217 5.959 4.522
Li 9.217 8.787 4.522
Zn 0.866 7.373 2.267
Zn 2.458 5.781 0.087
Zn 2.458 8.965 0.087
Zn 4.050 7.373 2.267
Zn 5.781 2.458 2.442
Zn 7.373 0.866 4.622
Zn 7.373 4.050 4.622
Zn 8.965 2.458 2.442
O 0.753 5.668 1.177
O 0.753 9.077 1.177
O 0.910 2.458 1.509
O 2.458 0.910 3.864
O 2.458 4.005 3.864
O 2.458 7.373 3.532
O 4.005 2.458 1.509
O 4.162 5.668 1.177
O 4.162 9.077 1.177
O 5.668 0.753 3.532
O 5.668 4.162 3.532
O 5.825 7.373 3.200
O 7.373 2.458 1.177
O 7.373 5.825 0.845
O 7.373 8.920 0.845
O 8.920 7.373 3.200
O 9.077 0.753 3.532
O 9.077 4.162 3.532
```

***

For Li5ZnO4, a structure optimized by DFT (PBE) gives the calculated PXRD pattern in this record (Cu Kα).

Principal peaks in the range 15 to 90 degrees two-theta, most intense first:
2theta, d (Å), I_rel
16.49, 5.377, 100
17.76, 4.993, 50
31.93, 2.803, 43
33.75, 2.656, 38
35.97, 2.496, 21
41.12, 2.195, 21
50.15, 1.819, 18
53.28, 1.719, 18

Atomic structure:
```
10
Lattice="-1.460 3.191 4.993 1.460 -3.191 4.993 1.460 3.191 -4.993" Properties=species:S:1:pos:R:3 pbc="T T T"
Li 0.000 0.000 0.000
Li 1.460 -1.480 3.417
Li 0.000 1.711 1.576
Li 1.460 1.480 3.417
Li 0.000 4.670 1.576
Zn 0.000 0.000 4.993
O 1.460 1.328 0.000
O 0.000 0.000 2.897
O 0.000 0.000 7.089
O 0.000 1.863 4.993
```

***

For Li6Zr2O7, a structure optimized by DFT (PBE) gives the calculated PXRD pattern in this record (Cu Kα).

Principal peaks in the range 15 to 90 degrees two-theta, most intense first:
2theta, d (Å), I_rel
18.36, 4.832, 100
41.68, 2.167, 75
17.07, 5.194, 73
23.28, 3.821, 65
29.69, 3.009, 43
26.65, 3.345, 38
41.81, 2.161, 37
16.95, 5.230, 35

Atomic structure:
```
30
Lattice="5.280 -3.027 0.000 5.280 3.027 0.000 -1.855 0.000 10.162" Properties=species:S:1:pos:R:3 pbc="T T T"
Li 0.524 0.777 9.094
Li 2.950 2.155 9.292
Li 4.828 2.155 5.952
Li 3.824 0.609 4.046
Li 1.451 -0.777 4.012
Li 5.808 0.609 1.035
Li 2.897 -0.609 9.127
Li 7.254 0.777 6.150
Li 4.881 -0.609 6.117
Li 3.877 -2.155 4.210
Li 5.756 -2.155 0.871
Li 8.181 -0.777 1.069
Zr 2.168 0.733 6.457
Zr 3.095 -0.733 1.376
Zr 5.611 0.733 8.786
Zr 6.538 -0.733 3.705
O 0.470 0.792 5.105
O 2.211 0.680 2.616
O 3.961 0.744 0.230
O 1.397 -0.792 0.024
O 3.889 0.977 7.622
O 1.284 -0.680 7.698
O 5.672 0.744 4.852
O 3.033 -0.744 5.311
O 7.422 0.680 2.465
O 4.816 -0.977 2.541
O 7.308 0.792 10.138
O 4.745 -0.744 9.933
O 6.495 -0.680 7.546
O 8.235 -0.792 5.057
```

***

For Li5Zr3O8, a structure optimized by DFT (PBE) gives the calculated PXRD pattern in this record (Cu Kα).

Principal peaks in the range 15 to 90 degrees two-theta, most intense first:
2theta, d (Å), I_rel
17.69, 5.013, 100
40.89, 2.207, 84
33.40, 2.683, 54
17.30, 5.126, 36
58.65, 1.574, 26
59.75, 1.548, 24
20.12, 4.414, 23
44.87, 2.020, 21

Atomic structure:
```
16
Lattice="3.148 1.818 5.013 -3.148 1.818 5.013 0.000 -3.635 5.013" Properties=species:S:1:pos:R:3 pbc="T T T"
Li 0.000 0.000 0.000
Li -1.574 -0.909 5.013
Li -1.574 0.909 10.025
Li 0.000 1.818 5.013
Li 0.000 0.000 7.519
Zr -3.148 0.000 7.519
Zr -1.574 0.909 2.506
Zr 1.574 0.909 2.506
O -1.634 -0.944 8.702
O 0.000 0.000 3.730
O 0.000 -1.887 6.336
O -1.634 0.944 6.336
O 1.634 -0.944 8.702
O 0.000 1.887 8.702
O 0.000 0.000 11.308
O 1.634 0.944 6.336
```

***

For LiOs, a structure optimized by DFT (PBE) gives the calculated PXRD pattern in this record (Cu Kα).

Principal peaks in the range 15 to 90 degrees two-theta, most intense first:
2theta, d (Å), I_rel
20.35, 4.364, 100
41.38, 2.182, 62
40.84, 2.210, 58
51.73, 1.767, 29
24.56, 3.624, 23
36.84, 2.440, 23
61.39, 1.510, 22
43.49, 2.081, 19

Atomic structure:
```
16
Lattice="5.125 0.000 0.000 0.000 5.125 0.000 0.000 0.000 8.323" Properties=species:S:1:pos:R:3 pbc="T T T"
Li 0.207 1.595 0.936
Li 0.967 2.769 7.179
Li 1.595 0.207 7.387
Li 2.356 4.158 5.306
Li 2.769 0.967 1.144
Li 3.530 4.918 3.225
Li 4.158 2.356 3.017
Li 4.918 3.530 5.098
Os 0.023 0.955 5.210
Os 0.955 0.023 3.113
Os 1.608 2.586 3.129
Os 2.539 3.517 1.032
Os 2.586 1.608 5.194
Os 3.517 2.539 7.291
Os 4.170 5.102 7.275
Os 5.102 4.170 1.048
```

***

For LiOs3, a structure optimized by DFT (PBE) gives the calculated PXRD pattern in this record (Cu Kα).

Principal peaks in the range 15 to 90 degrees two-theta, most intense first:
2theta, d (Å), I_rel
40.53, 2.226, 100
41.46, 2.178, 94
48.49, 1.877, 60
20.39, 4.356, 59
69.12, 1.359, 42
46.08, 1.970, 35
84.47, 1.147, 25
86.32, 1.127, 24

Atomic structure:
```
4
Lattice="2.614 -3.939 0.000 2.614 3.939 0.000 0.000 0.000 2.698" Properties=species:S:1:pos:R:3 pbc="T T T"
Li 0.000 0.000 0.000
Os 1.307 1.970 1.349
Os 1.307 -1.970 1.349
Os 2.614 0.000 0.000
```

***

For LiOs, a structure optimized by DFT (PBE) gives the calculated PXRD pattern in this record (Cu Kα).

Principal peaks in the range 15 to 90 degrees two-theta, most intense first:
2theta, d (Å), I_rel
19.31, 4.597, 100
39.90, 2.259, 48
41.55, 2.174, 48
47.67, 1.908, 33
51.89, 1.762, 23
39.19, 2.299, 19
74.69, 1.271, 16
62.15, 1.494, 13

Atomic structure:
```
2
Lattice="1.322 0.763 4.597 -1.322 0.763 4.597 0.000 -1.527 4.597" Properties=species:S:1:pos:R:3 pbc="T T T"
Li 0.000 0.000 0.000
Os 0.000 0.000 6.896
```

***

For Li3Os, a structure optimized by DFT (PBE) gives the calculated PXRD pattern in this record (Cu Kα).

Principal peaks in the range 15 to 90 degrees two-theta, most intense first:
2theta, d (Å), I_rel
18.45, 4.810, 100
38.58, 2.334, 63
42.00, 2.151, 62
37.39, 2.405, 56
47.24, 1.924, 47
27.82, 3.207, 36
42.29, 2.137, 25
53.91, 1.701, 25

Atomic structure:
```
4
Lattice="1.439 -2.192 0.000 1.439 2.192 0.000 0.000 0.000 9.620" Properties=species:S:1:pos:R:3 pbc="T T T"
Li 0.000 0.000 0.000
Li 1.439 0.000 2.617
Li 1.439 0.000 7.003
Os 0.000 0.000 4.810
```

***

For LiOs3, a structure optimized by DFT (PBE) gives the calculated PXRD pattern in this record (Cu Kα).

Principal peaks in the range 15 to 90 degrees two-theta, most intense first:
2theta, d (Å), I_rel
40.51, 2.227, 100
47.01, 1.933, 65
40.12, 2.248, 33
82.89, 1.165, 25
68.95, 1.362, 21
19.75, 4.495, 21
68.40, 1.371, 20
83.14, 1.162, 13

Atomic structure:
```
4
Lattice="1.362 0.786 8.990 -1.362 0.786 8.990 0.000 -1.573 8.990" Properties=species:S:1:pos:R:3 pbc="T T T"
Li 0.000 0.000 0.000
Os 0.000 0.000 6.655
Os 0.000 0.000 13.486
Os 0.000 0.000 20.317
```

***

For LiP4Os, a structure optimized by DFT (PBE) gives the calculated PXRD pattern in this record (Cu Kα).

Principal peaks in the range 15 to 90 degrees two-theta, most intense first:
2theta, d (Å), I_rel
43.15, 2.097, 100
22.14, 4.015, 72
25.62, 3.477, 61
36.55, 2.459, 53
70.35, 1.338, 32
45.17, 2.007, 25
59.44, 1.555, 23
65.79, 1.419, 20

Atomic structure:
```
6
Lattice="0.000 3.477 3.477 3.477 0.000 3.477 3.477 3.477 0.000" Properties=species:S:1:pos:R:3 pbc="T T T"
Li 0.000 0.000 0.000
P 2.600 2.600 2.600
P 4.354 4.354 2.600
P 4.354 2.600 4.354
P 2.600 4.354 4.354
Os 5.215 5.215 5.215
```

***

For Li2POs, a structure optimized by DFT (PBE) gives the calculated PXRD pattern in this record (Cu Kα).

Principal peaks in the range 15 to 90 degrees two-theta, most intense first:
2theta, d (Å), I_rel
20.94, 4.242, 100
22.12, 4.018, 94
38.40, 2.344, 51
39.09, 2.304, 46
31.81, 2.813, 35
45.13, 2.009, 32
56.27, 1.635, 28
37.41, 2.404, 26

Atomic structure:
```
4
Lattice="2.281 -4.242 0.000 2.281 4.242 0.000 0.000 0.000 2.813" Properties=species:S:1:pos:R:3 pbc="T T T"
Li 1.140 2.121 0.000
Li 1.140 -2.121 0.000
P 0.000 0.000 1.406
Os 2.281 0.000 1.406
```

***

For Li2OsRu, a structure optimized by DFT (PBE) gives the calculated PXRD pattern in this record (Cu Kα).

Principal peaks in the range 15 to 90 degrees two-theta, most intense first:
2theta, d (Å), I_rel
16.33, 5.430, 100
44.18, 2.050, 32
40.76, 2.214, 31
40.27, 2.239, 26
27.88, 3.200, 24
47.79, 1.903, 16
48.95, 1.861, 12
45.81, 1.981, 11

Atomic structure:
```
4
Lattice="2.669 0.000 0.000 0.000 3.961 0.000 0.000 0.000 5.430" Properties=species:S:1:pos:R:3 pbc="T T T"
Li 0.000 0.000 0.000
Li 1.335 1.981 1.166
Os 0.000 0.000 2.813
Ru 1.335 1.981 3.749
```